Record 1
Theoretical X-ray powder pattern
Compound: ErPu2PaSb4
Radiation: Cu Kα (λ = 1.5418 Å)
Structure: DFT lattice parameters and positions (PBE)
Peak positions follow from Bragg's law for the DFT cell and can differ from measured ones.

Atomic structure:
Cell: 7.602 4.409 7.619 Å, 90.00 109.54 90.00°
Space group P2/m (No. 10)
Unique sites:
Er  0.000  0.000  0.000 x1
Pu  0.000  0.500  0.500 x1
Pu  0.500  0.000  0.500 x1
Pa  0.500  0.500  0.000 x1
Sb  0.249  0.500  0.244 x2
Sb  0.251  0.000  0.755 x2

Peak list (10 most intense, 5 to 70 degrees two-theta, in order of rising 2θ)
- d 3.591, 2θ = 24.79°, intensity 14, (0 0 2)
- d 3.110, 2θ = 28.70°, intensity 100, (1 1 1)
- d 2.202, 2θ = 40.99°, intensity 39, (0 2 0)
- d 2.196, 2θ = 41.10°, intensity 38, (3 1 -1)
- d 1.797, 2θ = 50.80°, intensity 21, (2 2 -2)
- d 1.791, 2θ = 50.99°, intensity 7, (4 0 0)
- d 1.555, 2θ = 59.44°, intensity 13, (2 2 2)
- d 1.393, 2θ = 67.22°, intensity 12, (1 3 1)
- d 1.390, 2θ = 67.35°, intensity 18, (4 2 0)
- d 1.389, 2θ = 67.43°, intensity 6, (3 1 3)



Record 2
Theoretical X-ray powder pattern
Compound: Dy3Tm5Th3
Radiation: Cu Kα (λ = 1.5418 Å)
Structure: DFT lattice parameters and positions (PBE)
Peak positions follow from Bragg's law for the DFT cell and can differ from measured ones.

Atomic structure:
Cell: 18.031 4.996 7.900 Å, 90.00 105.37 90.00°
Space group Cm (No. 8)
Unique sites:
Dy  0.000  0.000  0.000 x2
Dy  0.044  0.500  0.722 x2
Dy  0.226  0.500  0.634 x2
Tm  0.090  0.000  0.449 x2
Tm  0.136  0.500  0.175 x2
Tm  0.317  0.500  0.089 x2
Tm  0.362  0.000  0.816 x2
Tm  0.409  0.500  0.538 x2
Th  0.183  0.000  0.907 x2
Th  0.273  0.000  0.360 x2
Th  0.451  0.000  0.265 x2

Peak list (8 most intense, 5 to 70 degrees two-theta, in order of rising 2θ)
- d 4.801, 2θ = 18.48°, intensity 1, (1 1 0)
- d 2.885, 2θ = 31.00°, intensity 100, (1 1 2)
- d 2.498, 2θ = 35.95°, intensity 51, (0 2 0)
- d 1.767, 2θ = 51.74°, intensity 30, (6 2 1)
- d 1.765, 2θ = 51.80°, intensity 6, (2 0 4)
- d 1.507, 2θ = 61.54°, intensity 36, (1 3 2)
- d 1.505, 2θ = 61.61°, intensity 7, (7 1 3)
- d 1.442, 2θ = 64.62°, intensity 12, (2 2 4)



Record 3
Theoretical X-ray powder pattern
Compound: La2AlCoBi
Radiation: Cu Kα (λ = 1.5418 Å)
Structure: DFT lattice parameters and positions (PBE)
Peak positions follow from Bragg's law for the DFT cell and can differ from measured ones.

Atomic structure:
Cell: 5.314 5.314 4.704 Å, 90.00 90.00 90.00°
Space group P4/mmm (No. 123)
Unique sites:
La  0.000  0.500  0.000 x2
Al  0.000  0.000  0.500 x1
Co  0.000  0.000  0.000 x1
Bi  0.500  0.500  0.500 x1

Peak list (10 most intense, 5 to 70 degrees two-theta, in order of rising 2θ)
- d 5.314, 2θ = 16.68°, intensity 13, (1 0 0)
- d 3.522, 2θ = 25.28°, intensity 47, (1 0 1)
- d 2.936, 2θ = 30.45°, intensity 100, (1 1 1)
- d 2.657, 2θ = 33.73°, intensity 63, (2 0 0)
- d 2.352, 2θ = 38.27°, intensity 22, (0 0 2)
- d 2.121, 2θ = 42.62°, intensity 24, (2 1 1)
- d 1.879, 2θ = 48.45°, intensity 23, (2 2 0)
- d 1.761, 2θ = 51.92°, intensity 37, (2 0 2)
- d 1.583, 2θ = 58.30°, intensity 33, (3 1 1)
- d 1.468, 2θ = 63.36°, intensity 20, (2 2 2)



Record 4
Theoretical X-ray powder pattern
Compound: Ac2ThCuSe5
Radiation: Cu Kα (λ = 1.5418 Å)
Structure: DFT lattice parameters and positions (PBE)
Peak positions follow from Bragg's law for the DFT cell and can differ from measured ones.

Atomic structure:
Cell: 4.192 17.899 13.027 Å, 90.00 90.00 90.00°
Space group Cmc2_1 (No. 36)
Unique sites:
Ac  0.000  0.118  0.000 x4
Ac  0.000  0.119  0.353 x4
Th  0.000  0.178  0.680 x4
Cu  0.000  0.445  0.076 x4
Se  0.000  0.019  0.667 x4
Se  0.000  0.304  0.341 x4
Se  0.000  0.311  0.018 x4
Se  0.000  0.343  0.676 x4
Se  0.000  0.495  0.408 x4

Peak list (10 most intense, 5 to 70 degrees two-theta, in order of rising 2θ)
- d 4.475, 2θ = 19.84°, intensity 15, (0 4 0)
- d 3.906, 2θ = 22.76°, intensity 33, (0 2 3)
- d 2.974, 2θ = 30.04°, intensity 100, (1 1 3)
- d 2.908, 2θ = 30.75°, intensity 20, (0 6 1)
- d 2.512, 2θ = 35.75°, intensity 40, (1 5 2)
- d 2.306, 2θ = 39.05°, intensity 16, (1 5 3)
- d 2.171, 2θ = 41.60°, intensity 13, (0 0 6)
- d 2.096, 2θ = 43.16°, intensity 21, (2 0 0)
- d 1.917, 2θ = 47.43°, intensity 13, (1 1 6)
- d 1.673, 2θ = 54.87°, intensity 12, (1 7 5)



Record 5
Theoretical X-ray powder pattern
Compound: Zn5CuPd2Au2
Radiation: Cu Kα (λ = 1.5418 Å)
Structure: DFT lattice parameters and positions (PBE)
Peak positions follow from Bragg's law for the DFT cell and can differ from measured ones.

Atomic structure:
Cell: 10.593 10.593 2.873 Å, 90.00 90.00 90.00°
Space group P4/mbm (No. 127)
Unique sites:
Zn  0.000  0.500  0.000 x2
Zn  0.122  0.151  0.000 x8
Cu  0.000  0.000  0.500 x2
Pd  0.146  0.354  0.500 x4
Au  0.153  0.653  0.500 x4

Peak list (10 most intense, 5 to 70 degrees two-theta, in order of rising 2θ)
- d 4.737, 2θ = 18.73°, intensity 11, (2 1 0)
- d 3.745, 2θ = 23.76°, intensity 11, (2 2 0)
- d 3.350, 2θ = 26.61°, intensity 13, (3 1 0)
- d 2.648, 2θ = 33.85°, intensity 40, (4 0 0)
- d 2.497, 2θ = 35.97°, intensity 13, (3 3 0)
- d 2.369, 2θ = 37.99°, intensity 18, (4 2 0)
- d 2.181, 2θ = 41.40°, intensity 100, (3 1 1)
- d 1.885, 2θ = 48.29°, intensity 29, (3 3 1)
- d 1.873, 2θ = 48.62°, intensity 22, (4 4 0)
- d 1.765, 2θ = 51.78°, intensity 18, (6 0 0)



Record 6
Theoretical X-ray powder pattern
Compound: NaHCO3
Radiation: Cu Kα (λ = 1.5418 Å)
Structure: DFT lattice parameters and positions (PBE)
Peak positions follow from Bragg's law for the DFT cell and can differ from measured ones.

Atomic structure:
Cell: 3.553 9.797 8.150 Å, 90.00 112.92 90.00°
Space group P2_1/c (No. 14)
Unique sites:
Na  0.075  0.005  0.286 x4
H  0.190  0.742  0.651 x4
C  0.287  0.240  0.077 x4
O  0.005  0.173  0.940 x4
O  0.307  0.131  0.571 x4
O  0.485  0.665  0.294 x4

Peak list (10 most intense, 5 to 70 degrees two-theta, in order of rising 2θ)
- d 3.505, 2θ = 25.41°, intensity 18, (0 1 2)
- d 3.103, 2θ = 28.77°, intensity 26, (1 1 0)
- d 2.996, 2θ = 29.82°, intensity 100, (1 1 -2)
- d 2.979, 2θ = 29.99°, intensity 43, (0 2 2)
- d 2.721, 2θ = 32.92°, intensity 21, (1 2 0)
- d 2.648, 2θ = 33.85°, intensity 82, (1 2 -2)
- d 2.328, 2θ = 38.68°, intensity 21, (1 2 1)
- d 2.228, 2θ = 40.48°, intensity 32, (0 2 3)
- d 2.056, 2θ = 44.05°, intensity 22, (1 3 1)
- d 1.933, 2θ = 47.01°, intensity 18, (1 4 -2)



Record 7
Theoretical X-ray powder pattern
Compound: NpAuS2
Radiation: Cu Kα (λ = 1.5418 Å)
Structure: DFT lattice parameters and positions (PBE)
Peak positions follow from Bragg's law for the DFT cell and can differ from measured ones.

Atomic structure:
Cell: 4.1666 4.1666 21.9960 Å, 90.00 90.00 120.00°
Space group R-3m (No. 166, hexagonal axes)
Unique sites:
Np  0.0000  0.0000  0.0000 x3
Au  0.0000  0.0000  0.5000 x3
S  0.0000  0.0000  0.3950 x6

Peak list (10 most intense, 5 to 70 degrees two-theta, in order of rising 2θ)
- d 3.666, 2θ = 24.28°, intensity 29, (0 0 6)
- d 3.429, 2θ = 25.99°, intensity 100, (0 1 2)
- d 3.017, 2θ = 29.61°, intensity 49, (1 0 4)
- d 2.187, 2θ = 41.28°, intensity 32, (0 1 8)
- d 2.083, 2θ = 43.44°, intensity 32, (1 1 0)
- d 1.878, 2θ = 48.47°, intensity 23, (1 0 10)
- d 1.811, 2θ = 50.38°, intensity 26, (1 1 6)
- d 1.780, 2θ = 51.32°, intensity 16, (2 0 2)
- d 1.376, 2θ = 68.14°, intensity 13, (1 1 12)
- d 1.353, 2θ = 69.44°, intensity 13, (1 2 2)



Record 8
Theoretical X-ray powder pattern
Compound: La2Ho5ErTm
Radiation: Cu Kα (λ = 1.5418 Å)
Structure: DFT lattice parameters and positions (PBE)
Peak positions follow from Bragg's law for the DFT cell and can differ from measured ones.

Atomic structure:
Cell: 5.619 19.803 10.682 Å, 90.00 90.00 90.00°
Space group Cmc2_1 (No. 36)
Unique sites:
La  0.000  0.113  0.000 x4
La  0.000  0.115  0.584 x4
Ho  0.000  0.017  0.289 x4
Ho  0.000  0.281  0.574 x4
Ho  0.000  0.299  0.972 x4
Ho  0.000  0.387  0.287 x4
Ho  0.000  0.481  0.006 x4
Er  0.000  0.412  0.728 x4
Tm  0.000  0.200  0.277 x4

Peak list (10 most intense, 5 to 70 degrees two-theta, in order of rising 2θ)
- d 3.153, 2θ = 28.30°, intensity 17, (0 6 1)
- d 2.974, 2θ = 30.05°, intensity 36, (1 1 3)
- d 2.810, 2θ = 31.85°, intensity 41, (2 0 0)
- d 2.768, 2θ = 32.34°, intensity 100, (1 5 2)
- d 2.671, 2θ = 33.56°, intensity 14, (0 0 4)
- d 2.098, 2θ = 43.12°, intensity 11, (2 6 1)
- d 1.936, 2θ = 46.94°, intensity 11, (2 0 4)
- d 1.614, 2θ = 57.06°, intensity 20, (3 5 2)
- d 1.545, 2θ = 59.87°, intensity 13, (1 11 3)
- d 1.512, 2θ = 61.32°, intensity 12, (2 6 5)